Record 1
Structure and computed powder XRD pattern of Fe2Mo3C (a crystal structure in Alexandria, relaxed with GGA-PBE; copper Kα).
No peak broadening, texture or thermal motion is included.

Peak list (6 most intense, 2θ from 10° to 90°, in order of rising 2θ)
| two_theta | I (rel.) | hkl |
| --- | --- | --- |
| 29.6 | 9 | 2 1 0 |
| 40.1 | 100 | 2 2 1 |
| 42.3 | 58 | 3 1 0 |
| 44.5 | 24 | 3 1 1 |
| 71.2 | 23 | 4 3 1 |
| 75.9 | 20 | 5 2 0 |

Structural model:
```
data_Fe2Mo3C
_cell_length_a 6.749
_cell_length_b 6.749
_cell_length_c 6.749
_cell_angle_alpha 90.00
_cell_angle_beta 90.00
_cell_angle_gamma 90.00
_space_group_name_H-M_alt 'P 41 3 2'
_space_group_IT_number 213
_space_group_name_Hall 'P 4bd 2ab 3'
loop_
_atom_site_label
_atom_site_type_symbol
_atom_site_fract_x
_atom_site_fract_y
_atom_site_fract_z
Fe1 Fe 0.070 0.070 0.070
Mo1 Mo 0.048 0.875 0.702
C1 C 0.125 0.625 0.875
```

***

Record 2
Structure and computed powder XRD pattern of FeC6N6 (a crystal structure in Alexandria, relaxed with GGA-PBE; copper Kα).
No peak broadening, texture or thermal motion is included.

Peak list (6 most intense, 2θ from 10° to 90°, in order of rising 2θ)
| two_theta | I (rel.) | hkl |
| --- | --- | --- |
| 15.5 | 100 | 1 0 0 |
| 17.7 | 62 | 0 2 0 |
| 22.5 | 43 | 1 1 -1 |
| 23.1 | 45 | 1 1 1 |
| 23.6 | 47 | 1 2 0 |
| 31.0 | 60 | 1 3 0 |

Structural model:
```
data_FeC6N6
_cell_length_a 5.711
_cell_length_b 10.025
_cell_length_c 6.310
_cell_angle_alpha 90.00
_cell_angle_beta 91.62
_cell_angle_gamma 90.00
_space_group_name_H-M_alt 'P 1 21/c 1'
_space_group_IT_number 14
loop_
_space_group_symop_operation_xyz
'x,y,z'
'-x,-y,-z'
'-x,y+1/2,-z+1/2'
'x,-y+1/2,z+1/2'
loop_
_atom_site_label
_atom_site_type_symbol
_atom_site_fract_x
_atom_site_fract_y
_atom_site_fract_z
Fe1 Fe 0.000 0.000 0.000
C1 C 0.172 0.167 0.003
C2 C 0.175 0.559 0.277
C3 C 0.175 0.559 0.733
N1 N 0.248 0.585 0.906
N2 N 0.249 0.585 0.107
N3 N 0.271 0.231 0.504
```

***

Record 3
Structure and computed powder XRD pattern of Fe2C3N6 (a crystal structure in Alexandria, relaxed with GGA-PBE; copper Kα).
No peak broadening, texture or thermal motion is included.

Peak list (6 most intense, 2θ from 10° to 90°, in order of rising 2θ)
| two_theta | I (rel.) | hkl |
| --- | --- | --- |
| 19.2 | 51 | 0 0 6 |
| 20.6 | 83 | 0 1 2 |
| 23.4 | 57 | 1 0 4 |
| 35.6 | 40 | 1 1 3 |
| 39.5 | 100 | 1 1 6 |
| 52.8 | 44 | 1 1 12 |

Structural model:
```
data_Fe2C3N6
_cell_length_a 5.2502
_cell_length_b 5.2502
_cell_length_c 27.7237
_cell_angle_alpha 90.00
_cell_angle_beta 90.00
_cell_angle_gamma 120.00
_space_group_name_H-M_alt 'R -3 c'
_space_group_IT_number 167
_space_group_name_Hall '-R 3 2"c'
loop_
_atom_site_label
_atom_site_type_symbol
_atom_site_fract_x
_atom_site_fract_y
_atom_site_fract_z
Fe1 Fe 0.0000 0.0000 0.1659
C1 C 0.0000 0.3233 0.2500
N1 N 0.0059 0.3806 0.5396
```

***

Record 4
Structure and computed powder XRD pattern of Fe6CN (a crystal structure in Alexandria, relaxed with GGA-PBE; copper Kα).
No peak broadening, texture or thermal motion is included.

Peak list (6 most intense, 2θ from 10° to 90°, in order of rising 2θ)
| two_theta | I (rel.) | hkl |
| --- | --- | --- |
| 38.7 | 19 | 1 1 0 |
| 41.8 | 23 | 0 0 6 |
| 44.2 | 100 | 2 -1 3 |
| 58.3 | 17 | 2 -1 6 |
| 70.1 | 16 | 3 0 0 |
| 78.0 | 16 | 1 1 9 |

Structural model:
```
data_Fe6CN
_cell_length_a 4.6504
_cell_length_b 4.6504
_cell_length_c 12.9720
_cell_angle_alpha 90.00
_cell_angle_beta 90.00
_cell_angle_gamma 120.00
_space_group_name_H-M_alt 'R -3'
_space_group_IT_number 148
_space_group_name_Hall '-R 3'
loop_
_atom_site_label
_atom_site_type_symbol
_atom_site_fract_x
_atom_site_fract_y
_atom_site_fract_z
Fe1 Fe 0.9998 0.3248 0.2496
C1 C 0.0000 0.0000 0.0000
N1 N 0.0000 0.0000 0.5000
```

***

Record 5
Structure and computed powder XRD pattern of Pr2FeC2N6 (a crystal structure in Alexandria, relaxed with GGA-PBE; copper Kα).
No peak broadening, texture or thermal motion is included.

Peak list (6 most intense, 2θ from 10° to 90°, in order of rising 2θ)
| two_theta | I (rel.) | hkl |
| --- | --- | --- |
| 23.1 | 63 | 0 1 2 |
| 30.7 | 60 | 1 0 4 |
| 34.9 | 100 | 1 1 0 |
| 35.4 | 74 | 0 1 5 |
| 42.3 | 35 | 2 0 2 |
| 47.2 | 37 | 0 2 4 |

Structural model:
```
data_Pr2FeC2N6
_cell_length_a 5.1368
_cell_length_b 5.1368
_cell_length_c 15.4246
_cell_angle_alpha 90.00
_cell_angle_beta 90.00
_cell_angle_gamma 120.00
_space_group_name_H-M_alt 'R -3 m'
_space_group_IT_number 166
_space_group_name_Hall '-R 3 2"'
loop_
_atom_site_label
_atom_site_type_symbol
_atom_site_fract_x
_atom_site_fract_y
_atom_site_fract_z
Pr1 Pr 0.0000 0.0000 0.2220
Fe1 Fe 0.0000 0.0000 0.0000
C1 C 0.0000 0.0000 0.4085
N1 N 0.0249 0.5125 0.2536
```

***

Record 6
Structure and computed powder XRD pattern of Sm2Fe17CN (a crystal structure in Alexandria, relaxed with GGA-PBE; copper Kα).
No peak broadening, texture or thermal motion is included.

Peak list (6 most intense, 2θ from 10° to 90°, in order of rising 2θ)
| two_theta | I (rel.) | hkl |
| --- | --- | --- |
| 29.8 | 55 | 1 0 2 |
| 37.6 | 63 | 2 2 0 |
| 41.7 | 100 | 2 -2 0 |
| 42.1 | 68 | 0 0 3 |
| 42.2 | 97 | -1 2 2 |
| 43.7 | 77 | 2 2 2 |

Structural model:
```
data_Sm2Fe17CN
_cell_length_a 6.475
_cell_length_b 6.506
_cell_length_c 6.520
_cell_angle_alpha 83.86
_cell_angle_beta 83.68
_cell_angle_gamma 83.73
_space_group_name_H-M_alt 'P -1'
_space_group_IT_number 2
loop_
_space_group_symop_operation_xyz
'x,y,z'
'-x,-y,-z'
loop_
_atom_site_label
_atom_site_type_symbol
_atom_site_fract_x
_atom_site_fract_y
_atom_site_fract_z
Sm1 Sm 0.159 0.149 0.161
Fe1 Fe 0.000 0.500 0.500
Fe2 Fe 0.154 0.156 0.643
Fe3 Fe 0.156 0.644 0.161
Fe4 Fe 0.213 0.501 0.785
Fe5 Fe 0.217 0.782 0.502
Fe6 Fe 0.353 0.842 0.840
Fe7 Fe 0.403 0.404 0.405
Fe8 Fe 0.497 0.218 0.783
Fe9 Fe 0.500 0.000 0.500
Fe10 Fe 0.500 0.500 0.000
C1 C 0.000 0.500 0.000
N1 N 0.500 0.000 0.000
```